The following is a simulated PXRD pattern of Pm8Dy6Tm. It was derived from a cell relaxed with PBE, using copper Kα.

Structural model:
Unit cell a=9.4012 b=9.4012 c=6.5591 alpha=90.00 beta=90.00 gamma=120.00
Space group P-3 (No. 147)
Asymmetric unit:
Pm1 0.0347 0.2847 0.1663 x6
Pm2 0.3333 0.6667 0.1193 x2
Dy1 0.0919 0.4361 0.6581 x6
Tm1 0.0000 0.0000 0.5000 x1

Peak list (10 most intense, 5 to 70 degrees two-theta, low angle first)
2θ 25.8, I 27, (0 2 1)
2θ 29.0, I 32, (2 1 0)
2θ 29.4, I 23, (0 1 2)
2θ 32.1, I 100, (2 1 1)
2θ 33.0, I 23, (3 0 0)
2θ 33.3, I 58, (2 -1 2)
2θ 50.8, I 19, (5 -3 1)
2θ 51.4, I 14, (1 4 0)
2θ 52.9, I 11, (0 4 2)
2θ 61.9, I 12, (2 4 1)